This entry pairs a crystal structure of YClO with its calculated X-ray powder pattern. Radiation: Cu Kα (λ = 1.5418 Å). Structure: a crystal structure in the Materials Project, relaxed with GGA-PBE.

Principal peaks in the range 15° ≤ 2θ ≤ 90°, low angle first:
18.51°, I = 18
27.62°, I = 77
31.14°, I = 100
34.77°, I = 42
37.52°, I = 18
41.57°, I = 15
44.12°, I = 27
47.51°, I = 53
48.51°, I = 12
57.91°, I = 16
62.06°, I = 22
78.07°, I = 13

Atomic structure:
Unit cell a=9.839 b=9.839 c=9.839 alpha=22.43 beta=22.43 gamma=22.43
Positions (direct):
Y 0.217 0.217 0.217
Y 0.783 0.783 0.783
Cl 0.389 0.389 0.389
Cl 0.611 0.611 0.611
O 0.137 0.137 0.137
O 0.863 0.863 0.863